[1]
Computed powder XRD pattern
Compound: LaSmMg6
Radiation: Cu Ka
Structure: a structure optimized by DFT (GGA-PBE)
Intensities are scaled so that the largest is 100.

Structure:
Lattice parameters (Å, degrees): 5.2536 7.4189 5.2540 90.00 90.00 90.00
Space group Pmm2 (No. 25)
One atom of each set of equivalent atoms:
La (0.0000, 0.0000, 0.0000)
Sm (0.5000, 0.5000, 0.5062)
Mg (0.0000, 0.2535, 0.4997)
Mg (0.0000, 0.5000, 0.0007)
Mg (0.5000, 0.0000, 0.5050)
Mg (0.5000, 0.2535, 0.0066)

Main lines, sorted by position (10° ≤ 2θ ≤ 90°):
d_spacing	Position (°2θ)	I/Imax
4.288	20.72	65.8
3.713	23.97	34.9
2.626	34.15	100.0
2.239	40.28	36.0
1.857	49.07	17.7
1.704	53.81	15.6
1.661	55.32	14.4
1.516	61.14	36.1
1.429	65.29	11.7
1.255	75.78	11.4

[2]
Computed powder XRD pattern
Compound: LaTb2Mg3Tl3
Radiation: Cu Ka
Structure: a structure optimized by DFT (GGA-PBE)
Intensities are scaled so that the largest is 100.

Structure:
Lattice parameters (Å, degrees): 4.7297 13.3654 7.5730 90.00 90.00 90.00
Space group Amm2 (No. 38)
One atom of each set of equivalent atoms:
La (0.0000, 0.0000, 0.0000)
Tb (0.0000, 0.2142, 0.6447)
Mg (0.5000, 0.0000, 0.6756)
Mg (0.5000, 0.1211, 0.3111)
Tl (0.0000, 0.0000, 0.4414)
Tl (0.5000, 0.1715, 0.9305)

Main lines, sorted by position (10° ≤ 2θ ≤ 90°):
d_spacing	Position (°2θ)	I/Imax
3.841	23.16	63.7
3.786	23.49	18.2
2.981	29.97	41.7
2.956	30.24	24.9
2.729	32.82	42.2
2.703	33.14	100.0
2.365	38.05	35.4
2.226	40.53	31.5
2.196	41.10	32.9
1.920	47.34	21.0

[3]
Computed powder XRD pattern
Compound: La2Mg2Zn15
Radiation: Cu Ka
Structure: a structure optimized by DFT (GGA-PBE)
Intensities are scaled so that the largest is 100.

Structure:
Lattice parameters (Å, degrees): 9.1709 9.1709 13.5096 90.00 90.00 120.00
Space group R-3m (No. 166, hexagonal axes)
One atom of each set of equivalent atoms:
La (0.0000, 0.0000, 0.1588)
Mg (0.0000, 0.0000, 0.3970)
Zn (0.0000, 0.2911, 0.5000)
Zn (0.0000, 0.5000, 0.0000)
Zn (0.0084, 0.5042, 0.6519)

Main lines, sorted by position (10° ≤ 2θ ≤ 90°):
d_spacing	Position (°2θ)	I/Imax
3.213	27.77	27.2
2.647	33.86	24.2
2.573	34.87	22.0
2.293	39.30	48.7
2.282	39.48	100.0
2.252	40.04	37.5
2.043	44.34	32.8
1.606	57.36	19.5
1.324	71.22	20.5
1.306	72.37	15.6